Record 1
# La3SnO
Calculated powder diffractogram, Cu Ka. Input: a DFT-relaxed cell (PBE, Alexandria).
Intensities are scaled so that the largest is 100.

Crystal structure
Lattice parameters (Å, degrees): 8.389 8.389 4.936 90.00 90.00 130.45
Fractional coordinates of all 10 atoms:
La: 0.000 0.500 0.500
La: 0.136 0.864 0.000
La: 0.251 0.251 0.500
La: 0.500 0.000 0.500
La: 0.749 0.749 0.500
La: 0.864 0.136 0.000
Sn: 0.368 0.632 0.000
Sn: 0.632 0.368 0.000
O: 0.124 0.876 0.500
O: 0.876 0.124 0.500

Principal peaks in the range 2θ from 10° to 90°, in order of falling intensity:
| Position (°2θ) | I_rel |
| --- | --- |
| 29.63 | 100 |
| 31.24 | 90 |
| 34.73 | 75 |
| 51.19 | 49 |
| 36.41 | 34 |
| 58.18 | 28 |
| 61.02 | 26 |
| 47.76 | 14 |

Record 2
# Mg3Ag
Calculated powder diffractogram, Cu Ka. Input: a DFT-relaxed cell (PBE, Alexandria).
Intensities are scaled so that the largest is 100.

Crystal structure
Lattice parameters (Å, degrees): 3.363 3.622 6.697 90.00 90.00 90.00
Fractional coordinates of all 4 atoms:
Mg: 0.000 0.000 0.000
Mg: 0.500 0.500 0.273
Mg: 0.500 0.500 0.727
Ag: 0.000 0.000 0.500

Principal peaks in the range 2θ from 10° to 90°, in order of falling intensity:
| Position (°2θ) | I_rel |
| --- | --- |
| 36.50 | 100 |
| 13.22 | 72 |
| 37.92 | 44 |
| 38.95 | 21 |
| 28.01 | 18 |
| 64.76 | 17 |
| 29.73 | 15 |
| 67.49 | 15 |

Record 3
# Ac5La2Pm2
Calculated powder diffractogram, Cu Ka. Input: a DFT-relaxed cell (PBE, Alexandria).
Intensities are scaled so that the largest is 100.

Crystal structure
Lattice parameters (Å, degrees): 3.887 6.714 14.824 86.13 82.48 73.25
Fractional coordinates of all 9 atoms:
Ac: 0.000 0.000 0.000
Ac: 0.109 0.226 0.559
Ac: 0.214 0.450 0.120
Ac: 0.786 0.550 0.880
Ac: 0.891 0.774 0.441
La: 0.437 0.902 0.224
La: 0.563 0.098 0.776
Pm: 0.333 0.671 0.663
Pm: 0.667 0.329 0.337

Principal peaks in the range 2θ from 10° to 90°, in order of falling intensity:
| Position (°2θ) | I_rel |
| --- | --- |
| 28.26 | 100 |
| 32.60 | 46 |
| 28.37 | 33 |
| 55.53 | 26 |
| 33.13 | 22 |
| 46.78 | 17 |
| 47.09 | 16 |
| 47.25 | 16 |

Record 4
# Ag6OF4
Calculated powder diffractogram, Cu Ka. Input: a DFT-relaxed cell (PBE, Alexandria).
Intensities are scaled so that the largest is 100.

Crystal structure
Lattice parameters (Å, degrees): 6.288 6.288 10.595 100.38 100.38 62.60
Fractional coordinates of all 22 atoms:
Ag: 0.014 0.986 0.500
Ag: 0.110 0.686 0.778
Ag: 0.160 0.483 0.089
Ag: 0.278 0.833 0.283
Ag: 0.355 0.996 0.849
Ag: 0.482 0.656 0.035
Ag: 0.483 0.160 0.589
Ag: 0.656 0.482 0.535
Ag: 0.686 0.110 0.278
Ag: 0.833 0.278 0.783
Ag: 0.986 0.014 0.000
Ag: 0.996 0.355 0.349
O: 0.856 0.967 0.671
O: 0.967 0.856 0.171
F: 0.089 0.413 0.579
F: 0.365 0.391 0.363
F: 0.386 0.836 0.634
F: 0.391 0.365 0.863
F: 0.413 0.089 0.079
F: 0.613 0.782 0.387
F: 0.782 0.613 0.887
F: 0.836 0.386 0.134

Principal peaks in the range 2θ from 10° to 90°, in order of falling intensity:
| Position (°2θ) | I_rel |
| --- | --- |
| 34.93 | 100 |
| 35.24 | 82 |
| 31.76 | 82 |
| 32.41 | 75 |
| 43.64 | 51 |
| 28.92 | 46 |
| 28.64 | 45 |
| 34.64 | 42 |

Record 5
# La5Pr5Sb6
Calculated powder diffractogram, Cu Ka. Input: a DFT-relaxed cell (PBE, Alexandria).
Intensities are scaled so that the largest is 100.

Crystal structure
Lattice parameters (Å, degrees): 6.605 9.502 9.502 120.06 90.00 90.00
Fractional coordinates of all 16 atoms:
La: 0.000 0.000 0.000
La: 0.250 0.081 0.414
La: 0.250 0.414 0.081
La: 0.750 0.081 0.414
La: 0.750 0.414 0.081
Pr: 0.000 0.494 0.748
Pr: 0.000 0.748 0.494
Pr: 0.500 0.001 0.747
Pr: 0.500 0.496 0.496
Pr: 0.500 0.747 0.001
Sb: 0.000 0.132 0.747
Sb: 0.000 0.366 0.366
Sb: 0.000 0.747 0.132
Sb: 0.500 0.130 0.130
Sb: 0.500 0.365 0.748
Sb: 0.500 0.748 0.365

Principal peaks in the range 2θ from 10° to 90°, in order of falling intensity:
| Position (°2θ) | I_rel |
| --- | --- |
| 31.81 | 100 |
| 33.04 | 91 |
| 32.66 | 66 |
| 50.82 | 33 |
| 28.71 | 30 |
| 47.14 | 25 |
| 27.00 | 20 |
| 50.28 | 17 |

Record 6
# KW2C
Calculated powder diffractogram, Cu Ka. Input: a DFT-relaxed cell (PBE, Alexandria).
Intensities are scaled so that the largest is 100.

Crystal structure
Lattice parameters (Å, degrees): 6.405 6.405 9.039 90.00 90.00 90.00
Fractional coordinates of all 16 atoms:
K: 0.000 0.250 0.375
K: 0.000 0.750 0.625
K: 0.500 0.250 0.125
K: 0.500 0.750 0.875
W: 0.000 0.000 0.000
W: 0.000 0.500 0.000
W: 0.250 0.250 0.750
W: 0.250 0.750 0.250
W: 0.500 0.000 0.500
W: 0.500 0.500 0.500
W: 0.750 0.250 0.750
W: 0.750 0.750 0.250
C: 0.000 0.250 0.875
C: 0.000 0.750 0.125
C: 0.500 0.250 0.625
C: 0.500 0.750 0.375

Principal peaks in the range 2θ from 10° to 90°, in order of falling intensity:
| Position (°2θ) | I_rel |
| --- | --- |
| 16.97 | 100 |
| 32.82 | 97 |
| 34.32 | 92 |
| 57.61 | 40 |
| 39.84 | 34 |
| 43.59 | 28 |
| 52.51 | 26 |
| 68.76 | 25 |

Record 7
# Pm4Y2Bi3N2
Calculated powder diffractogram, Cu Ka. Input: a DFT-relaxed cell (PBE, Alexandria).
Intensities are scaled so that the largest is 100.

Crystal structure
Lattice parameters (Å, degrees): 13.484 13.484 13.484 159.47 159.47 29.19
Fractional coordinates of all 11 atoms:
Pm: 0.085 0.585 0.500
Pm: 0.415 0.915 0.500
Pm: 0.585 0.085 0.500
Pm: 0.915 0.415 0.500
Y: 0.191 0.191 0.000
Y: 0.809 0.809 0.000
Bi: 0.317 0.317 0.000
Bi: 0.500 0.500 0.000
Bi: 0.683 0.683 0.000
N: 0.107 0.107 0.000
N: 0.893 0.893 0.000

Principal peaks in the range 2θ from 10° to 90°, in order of falling intensity:
| Position (°2θ) | I_rel |
| --- | --- |
| 33.47 | 100 |
| 37.43 | 49 |
| 65.02 | 30 |
| 27.12 | 26 |
| 25.19 | 23 |
| 18.78 | 22 |
| 29.64 | 20 |
| 53.98 | 17 |

Record 8
# UPaSe4
Calculated powder diffractogram, Cu Ka. Input: a DFT-relaxed cell (PBE, Alexandria).
Intensities are scaled so that the largest is 100.

Crystal structure
Lattice parameters (Å, degrees): 9.404 9.463 4.293 90.00 90.00 90.00
Fractional coordinates of all 12 atoms:
U: 0.000 0.000 0.000
U: 0.500 0.500 0.000
Pa: 0.000 0.500 0.500
Pa: 0.500 0.000 0.500
Se: 0.000 0.305 0.000
Se: 0.000 0.695 0.000
Se: 0.199 0.000 0.500
Se: 0.301 0.500 0.500
Se: 0.500 0.195 0.000
Se: 0.500 0.805 0.000
Se: 0.699 0.500 0.500
Se: 0.801 0.000 0.500

Principal peaks in the range 2θ from 10° to 90°, in order of falling intensity:
| Position (°2θ) | I_rel |
| --- | --- |
| 24.66 | 100 |
| 18.75 | 96 |
| 18.87 | 92 |
| 36.62 | 90 |
| 36.75 | 85 |
| 45.97 | 84 |
| 28.11 | 51 |
| 46.48 | 38 |

Record 9
# Ca2Rh3
Calculated powder diffractogram, Cu Ka. Input: a DFT-relaxed cell (PBE, Alexandria).
Intensities are scaled so that the largest is 100.

Crystal structure
Lattice parameters (Å, degrees): 5.649 5.649 7.782 90.00 90.00 123.32
Fractional coordinates of all 10 atoms:
Ca: 0.155 0.845 0.900
Ca: 0.345 0.655 0.400
Ca: 0.655 0.345 0.600
Ca: 0.845 0.155 0.100
Rh: 0.000 0.000 0.500
Rh: 0.155 0.345 0.750
Rh: 0.345 0.155 0.250
Rh: 0.500 0.500 0.000
Rh: 0.655 0.845 0.750
Rh: 0.845 0.655 0.250

Principal peaks in the range 2θ from 10° to 90°, in order of falling intensity:
| Position (°2θ) | I_rel |
| --- | --- |
| 39.91 | 100 |
| 21.20 | 100 |
| 40.87 | 93 |
| 33.81 | 81 |
| 17.84 | 78 |
| 39.17 | 66 |
| 43.18 | 40 |
| 44.91 | 37 |

Record 10
# KTlSn
Calculated powder diffractogram, Cu Ka. Input: a DFT-relaxed cell (PBE, Alexandria).
Intensities are scaled so that the largest is 100.

Crystal structure
Lattice parameters (Å, degrees): 5.022 5.022 8.530 90.00 90.00 90.00
Fractional coordinates of all 6 atoms:
K: 0.250 0.250 0.162
K: 0.750 0.750 0.838
Tl: 0.250 0.750 0.500
Tl: 0.750 0.250 0.500
Sn: 0.250 0.250 0.721
Sn: 0.750 0.750 0.279

Principal peaks in the range 2θ from 10° to 90°, in order of falling intensity:
| Position (°2θ) | I_rel |
| --- | --- |
| 10.37 | 100 |
| 32.82 | 79 |
| 27.20 | 46 |
| 35.76 | 37 |
| 62.39 | 25 |
| 37.33 | 20 |
| 40.65 | 20 |
| 20.52 | 16 |